1.
This entry pairs a crystal structure of Rb5Dy3I12 with its calculated powder diffractogram. Radiation: λ = 1.5418 Å (Cu Kα). Structure: the PBE geometry in the Materials Project.
Intensities are scaled so that the largest is 100.

Main lines, low angle first (2θ = 5–70°):
h k l, 2theta, d (Å), I_rel
1 1 0, 11.59, 7.632, 65
3 1 0, 24.28, 3.666, 46
2 1 1, 26.39, 3.377, 100
4 0 0, 26.98, 3.305, 31
2 2 1, 30.48, 2.933, 56
3 3 0, 35.28, 2.544, 22
4 1 1, 36.82, 2.441, 40
0 0 2, 39.32, 2.291, 26
3 3 1, 40.56, 2.224, 38
3 3 2, 53.85, 1.702, 23

Crystal structure
a = 15.2645 Å, b = 15.2645 Å, c = 4.5828 Å
α = 90.00°, β = 90.00°, γ = 120.00°
Space group P-62m (No. 189)
Symmetry-distinct sites (fractional):
Rb: 0.0000 0.7176 0.0000 [3 per cell]
Rb: 0.3333 0.6667 0.0000 [2 per cell]
Dy: 0.0000 0.3228 0.5000 [3 per cell]
I: 0.0000 0.1828 0.0000 [3 per cell]
I: 0.0000 0.4599 0.0000 [3 per cell]
I: 0.2080 0.7666 0.5000 [6 per cell]

2.
This entry pairs a crystal structure of DyIn3 with its calculated powder diffractogram. Radiation: λ = 1.5418 Å (Cu Kα). Structure: the PBE geometry in the Materials Project.
Intensities are scaled so that the largest is 100.

Main lines, low angle first (2θ = 5–70°):
h k l, 2theta, d (Å), I_rel
1 0 0, 19.11, 4.645, 2
1 1 0, 27.15, 3.284, 2
1 1 1, 33.41, 2.682, 100
2 0 0, 38.77, 2.322, 50
2 1 0, 43.57, 2.077, 1
2 1 1, 47.98, 1.896, 1
2 2 0, 56.00, 1.642, 33
3 0 0, 59.72, 1.548, 1
3 1 1, 66.80, 1.400, 39

Crystal structure
a = 4.645 Å, b = 4.645 Å, c = 4.645 Å
α = 90.00°, β = 90.00°, γ = 90.00°
Space group Pm-3m (No. 221)
Symmetry-distinct sites (fractional):
Dy: 0.000 0.000 0.000 [1 per cell]
In: 0.000 0.500 0.500 [3 per cell]

3.
This entry pairs a crystal structure of Dy3In5 with its calculated powder diffractogram. Radiation: λ = 1.5418 Å (Cu Kα). Structure: the PBE geometry in the Materials Project.
Intensities are scaled so that the largest is 100.

Main lines, low angle first (2θ = 5–70°):
h k l, 2theta, d (Å), I_rel
2 2 1, 29.73, 3.005, 16
2 2 2, 33.35, 2.687, 100
3 1 2, 33.84, 2.649, 26
0 0 4, 34.53, 2.598, 69
4 0 0, 35.95, 2.498, 26
2 2 3, 38.71, 2.326, 23
3 1 3, 39.14, 2.302, 21
5 3 0, 57.45, 1.604, 17
2 2 6, 61.08, 1.517, 16
3 5 2, 66.90, 1.399, 15

Crystal structure
a = 9.993 Å, b = 8.068 Å, c = 10.394 Å
α = 90.00°, β = 90.00°, γ = 90.00°
Space group Cmcm (No. 63)
Symmetry-distinct sites (fractional):
Dy: 0.000 0.128 0.250 [4 per cell]
Dy: 0.202 0.500 0.000 [8 per cell]
In: 0.000 0.189 0.547 [8 per cell]
In: 0.000 0.486 0.750 [4 per cell]
In: 0.220 0.210 0.750 [8 per cell]

4.
This entry pairs a crystal structure of DyIn with its calculated powder diffractogram. Radiation: λ = 1.5418 Å (Cu Kα). Structure: the PBE geometry in the Materials Project.
Intensities are scaled so that the largest is 100.

Main lines, low angle first (2θ = 5–70°):
h k l, 2theta, d (Å), I_rel
1 0 0, 23.64, 3.764, 3
1 1 0, 33.67, 2.662, 100
1 1 1, 41.56, 2.173, 1
2 0 0, 48.36, 1.882, 18
2 1 0, 54.51, 1.683, 1
2 1 1, 60.22, 1.537, 37

Crystal structure
a = 3.764 Å, b = 3.764 Å, c = 3.764 Å
α = 90.00°, β = 90.00°, γ = 90.00°
Space group Pm-3m (No. 221)
Symmetry-distinct sites (fractional):
Dy: 0.000 0.000 0.000 [1 per cell]
In: 0.500 0.500 0.500 [1 per cell]

5.
This entry pairs a crystal structure of Dy4InIr with its calculated powder diffractogram. Radiation: λ = 1.5418 Å (Cu Kα). Structure: the PBE geometry in the Materials Project.
Intensities are scaled so that the largest is 100.

Main lines, low angle first (2θ = 5–70°):
h k l, 2theta, d (Å), I_rel
1 1 1, 11.21, 7.896, 11
3 3 1, 28.45, 3.137, 16
4 2 2, 32.06, 2.791, 41
5 1 1, 34.07, 2.632, 100
4 4 0, 37.19, 2.418, 38
5 3 1, 38.96, 2.312, 9
5 5 3, 51.32, 1.780, 12
6 6 0, 57.15, 1.612, 40
5 5 5, 58.44, 1.579, 14
9 3 3, 68.24, 1.374, 12

Crystal structure
a = 13.675 Å, b = 13.675 Å, c = 13.675 Å
α = 90.00°, β = 90.00°, γ = 90.00°
Space group F-43m (No. 216)
Symmetry-distinct sites (fractional):
Dy: 0.000 0.000 0.188 [24 per cell]
Dy: 0.060 0.250 0.750 [24 per cell]
Dy: 0.099 0.099 0.401 [16 per cell]
In: 0.167 0.167 0.167 [16 per cell]
Ir: 0.108 0.108 0.608 [16 per cell]

6.
This entry pairs a crystal structure of LiDy2In with its calculated powder diffractogram. Radiation: λ = 1.5418 Å (Cu Kα). Structure: the PBE geometry in the Materials Project.
Intensities are scaled so that the largest is 100.

Main lines, low angle first (2θ = 5–70°):
h k l, 2theta, d (Å), I_rel
1 1 1, 20.63, 4.305, 15
2 0 0, 23.87, 3.728, 25
2 2 0, 34.01, 2.636, 100
3 1 1, 40.11, 2.248, 8
2 2 2, 41.97, 2.152, 8
4 0 0, 48.86, 1.864, 18
3 3 1, 53.57, 1.711, 3
4 2 0, 55.08, 1.667, 10
4 2 2, 60.86, 1.522, 37
5 1 1, 64.99, 1.435, 2

Crystal structure
a = 7.456 Å, b = 7.456 Å, c = 7.456 Å
α = 90.00°, β = 90.00°, γ = 90.00°
Space group Fm-3m (No. 225)
Symmetry-distinct sites (fractional):
Li: 0.000 0.000 0.000 [4 per cell]
Dy: 0.250 0.250 0.250 [8 per cell]
In: 0.000 0.000 0.500 [4 per cell]

7.
This entry pairs a crystal structure of Dy5In4Ni2 with its calculated powder diffractogram. Radiation: λ = 1.5418 Å (Cu Kα). Structure: the PBE geometry in the Materials Project.
Intensities are scaled so that the largest is 100.

Main lines, low angle first (2θ = 5–70°):
h k l, 2theta, d (Å), I_rel
1 6 0, 31.99, 2.798, 20
1 4 1, 33.81, 2.652, 100
3 1 0, 34.19, 2.622, 16
2 2 1, 35.01, 2.563, 83
3 2 0, 35.31, 2.542, 38
1 7 0, 36.84, 2.440, 61
1 5 1, 37.08, 2.425, 31
2 6 0, 37.65, 2.389, 24
0 0 2, 50.49, 1.808, 26
3 8 1, 59.78, 1.547, 17

Crystal structure
a = 7.952 Å, b = 17.933 Å, c = 3.615 Å
α = 90.00°, β = 90.00°, γ = 90.00°
Space group Pbam (No. 55)
Symmetry-distinct sites (fractional):
Dy: 0.000 0.000 0.000 [2 per cell]
Dy: 0.117 0.414 0.000 [4 per cell]
Dy: 0.245 0.221 0.000 [4 per cell]
In: 0.074 0.848 0.500 [4 per cell]
In: 0.207 0.570 0.500 [4 per cell]
Ni: 0.026 0.304 0.500 [4 per cell]

8.
This entry pairs a crystal structure of Dy2InNi2 with its calculated powder diffractogram. Radiation: λ = 1.5418 Å (Cu Kα). Structure: the PBE geometry in the Materials Project.
Intensities are scaled so that the largest is 100.

Main lines, low angle first (2θ = 5–70°):
h k l, 2theta, d (Å), I_rel
1 3 0, 29.38, 3.040, 46
1 1 1, 34.13, 2.627, 100
0 4 1, 35.31, 2.542, 72
0 6 0, 37.86, 2.376, 14
1 3 1, 38.65, 2.330, 38
1 5 0, 38.94, 2.313, 34
2 0 0, 45.87, 1.978, 26
0 0 2, 50.36, 1.812, 31
1 7 1, 56.83, 1.620, 19
2 4 1, 59.19, 1.561, 32

Crystal structure
a = 3.956 Å, b = 14.256 Å, c = 3.626 Å
α = 90.00°, β = 90.00°, γ = 90.00°
Space group Cmmm (No. 65)
Symmetry-distinct sites (fractional):
Dy: 0.000 0.139 0.000 [4 per cell]
In: 0.000 0.500 0.500 [2 per cell]
Ni: 0.000 0.301 0.500 [4 per cell]